La3Zn3Hg2: calculated powder diffraction line list (Cu Kα X-rays), based on a PBE-relaxed structure.

Principal peaks in the range 5 to 70 degrees two-theta, by angle:
30.7 deg, I 100, (1 1 4)
31.1 deg, I 64, (1 3 1)
34.6 deg, I 35, (0 0 6)
35.2 deg, I 48, (1 3 3)
37.7 deg, I 60, (2 0 0)
38.5 deg, I 67, (1 3 4)

Structural model:
a = 4.773 Å, b = 11.103 Å, c = 15.574 Å
α = 90.00°, β = 90.00°, γ = 90.00°
Space group Cmcm (No. 63)
One atom of each set of equivalent atoms:
La 0.000 0.104 0.106 x8
La 0.000 0.380 0.250 x4
Zn 0.000 0.337 0.750 x4
Zn 0.000 0.397 0.038 x8
Hg 0.000 0.196 0.600 x8